For ThAs, the PBE geometry in the Materials Project gives the computed PXRD pattern in this record (Cu Kα (λ = 1.5418 Å)).
Peak positions follow from Bragg's law for the DFT cell and can differ from measured ones.

Largest 8 diffraction maxima, low angle first, 10° ≤ 2θ ≤ 90°:
2theta  intensity
24.4  28.1
34.7  100.0
42.9  8.9
49.9  18.2
56.3  12.5
62.3  37.8
73.3  11.8
83.7  16.9

Structural model:
a = 3.652 Å, b = 3.652 Å, c = 3.652 Å
α = 90.00°, β = 90.00°, γ = 90.00°
Fractional positions:
Th 0.000 0.000 0.000
As 0.500 0.500 0.500

For Ti5As3, the PBE geometry in the Materials Project gives the computed PXRD pattern in this record (Cu Kα (λ = 1.5418 Å)).
Peak positions follow from Bragg's law for the DFT cell and can differ from measured ones.

Largest 8 diffraction maxima, low angle first, 10° ≤ 2θ ≤ 90°:
2theta  intensity
28.1  32.8
30.1  40.1
36.5  100.0
38.2  76.9
38.7  55.7
39.9  98.3
43.4  42.0
46.9  47.2

Structural model:
a = 9.908 Å, b = 7.744 Å, c = 6.729 Å
α = 90.00°, β = 90.00°, γ = 90.00°
Fractional positions:
Ti 0.001 0.250 0.026
Ti 0.065 0.053 0.697
Ti 0.065 0.447 0.697
Ti 0.210 0.750 0.341
Ti 0.228 0.250 0.333
Ti 0.272 0.750 0.833
Ti 0.290 0.250 0.841
Ti 0.435 0.553 0.197
Ti 0.435 0.947 0.197
Ti 0.499 0.750 0.526
Ti 0.501 0.250 0.474
Ti 0.565 0.053 0.803
Ti 0.565 0.447 0.803
Ti 0.710 0.750 0.159
Ti 0.728 0.250 0.167
Ti 0.772 0.750 0.667
Ti 0.790 0.250 0.659
Ti 0.935 0.553 0.303
Ti 0.935 0.947 0.303
Ti 0.999 0.750 0.974
As 0.021 0.750 0.586
As 0.175 0.508 0.070
As 0.175 0.992 0.070
As 0.325 0.008 0.570
As 0.325 0.492 0.570
As 0.479 0.250 0.086
As 0.521 0.750 0.914
As 0.675 0.508 0.430
As 0.675 0.992 0.430
As 0.825 0.008 0.930
As 0.825 0.492 0.930
As 0.979 0.250 0.414

For TiAs, the PBE geometry in the Materials Project gives the computed PXRD pattern in this record (Cu Kα (λ = 1.5418 Å)).
Peak positions follow from Bragg's law for the DFT cell and can differ from measured ones.

Largest 8 diffraction maxima, low angle first, 10° ≤ 2θ ≤ 90°:
2theta  intensity
31.7  100.0
41.0  79.8
49.7  47.0
53.5  22.4
60.2  15.6
66.3  17.6
82.1  20.5
87.2  16.3

Structural model:
a = 3.670 Å, b = 3.670 Å, c = 6.106 Å
α = 90.00°, β = 90.00°, γ = 120.00°
Fractional positions:
Ti 0.000 0.000 0.000
Ti 0.000 0.000 0.500
As 0.333 0.667 0.250
As 0.667 0.333 0.750

For TiAs, the PBE geometry in the Materials Project gives the computed PXRD pattern in this record (Cu Kα (λ = 1.5418 Å)).
Peak positions follow from Bragg's law for the DFT cell and can differ from measured ones.

Largest 8 diffraction maxima, low angle first, 10° ≤ 2θ ≤ 90°:
2theta  intensity
28.6  36.4
32.0  32.6
40.6  100.0
50.7  38.6
58.3  8.3
66.9  21.7
80.9  18.7
88.6  20.5

Structural model:
a = 3.599 Å, b = 3.599 Å, c = 6.332 Å
α = 90.00°, β = 90.00°, γ = 120.00°
Fractional positions:
Ti 0.333 0.667 0.250
Ti 0.667 0.333 0.750
As 0.000 0.000 0.000
As 0.000 0.000 0.500

For Ti5As3, the PBE geometry in the Materials Project gives the computed PXRD pattern in this record (Cu Kα (λ = 1.5418 Å)).
Peak positions follow from Bragg's law for the DFT cell and can differ from measured ones.

Largest 8 diffraction maxima, low angle first, 10° ≤ 2θ ≤ 90°:
2theta  intensity
13.5  21.1
29.2  23.9
34.5  31.2
40.4  100.0
41.4  70.8
42.2  84.3
53.5  26.6
65.8  21.7

Structural model:
a = 7.560 Å, b = 7.560 Å, c = 5.197 Å
α = 90.00°, β = 90.00°, γ = 120.00°
Fractional positions:
Ti 0.000 0.255 0.250
Ti 0.000 0.745 0.750
Ti 0.255 0.000 0.250
Ti 0.255 0.255 0.750
Ti 0.333 0.667 0.000
Ti 0.333 0.667 0.500
Ti 0.667 0.333 0.000
Ti 0.667 0.333 0.500
Ti 0.745 0.000 0.750
Ti 0.745 0.745 0.250
As 0.000 0.385 0.750
As 0.000 0.615 0.250
As 0.385 0.000 0.750
As 0.385 0.385 0.250
As 0.615 0.000 0.250
As 0.615 0.615 0.750

For Ti4As3, the PBE geometry in the Materials Project gives the computed PXRD pattern in this record (Cu Kα (λ = 1.5418 Å)).
Peak positions follow from Bragg's law for the DFT cell and can differ from measured ones.

Largest 8 diffraction maxima, low angle first, 10° ≤ 2θ ≤ 90°:
2theta  intensity
28.4  21.7
37.0  100.0
44.1  63.1
53.3  20.6
56.1  13.7
61.5  15.6
76.3  25.5
81.0  12.0

Structural model:
a = 6.661 Å, b = 6.661 Å, c = 6.661 Å
α = 109.47°, β = 109.47°, γ = 109.47°
Fractional positions:
Ti 0.000 0.149 0.500
Ti 0.000 0.649 0.500
Ti 0.149 0.500 0.000
Ti 0.351 0.351 0.351
Ti 0.500 0.000 0.149
Ti 0.500 0.000 0.649
Ti 0.649 0.500 0.000
Ti 0.851 0.851 0.851
As 0.125 0.875 0.250
As 0.250 0.125 0.875
As 0.375 0.625 0.750
As 0.625 0.750 0.375
As 0.750 0.375 0.625
As 0.875 0.250 0.125

For TiAs, the PBE geometry in the Materials Project gives the computed PXRD pattern in this record (Cu Kα (λ = 1.5418 Å)).
Peak positions follow from Bragg's law for the DFT cell and can differ from measured ones.

Largest 8 diffraction maxima, low angle first, 10° ≤ 2θ ≤ 90°:
2theta  intensity
31.9  97.8
36.1  100.0
41.3  27.6
47.3  30.1
50.0  66.5
53.9  29.4
63.2  17.8
82.8  27.3

Structural model:
a = 3.649 Å, b = 3.649 Å, c = 12.118 Å
α = 90.00°, β = 90.00°, γ = 120.00°
Fractional positions:
Ti 0.333 0.667 0.117
Ti 0.333 0.667 0.383
Ti 0.667 0.333 0.617
Ti 0.667 0.333 0.883
As 0.000 0.000 0.000
As 0.000 0.000 0.500
As 0.333 0.667 0.750
As 0.667 0.333 0.250

For ZrTiAs, the PBE geometry in the Materials Project gives the computed PXRD pattern in this record (Cu Kα (λ = 1.5418 Å)).
Peak positions follow from Bragg's law for the DFT cell and can differ from measured ones.

Largest 8 diffraction maxima, low angle first, 10° ≤ 2θ ≤ 90°:
2theta  intensity
33.4  68.4
35.6  92.2
36.0  36.3
38.3  92.7
41.5  100.0
48.0  75.0
61.5  28.4
63.0  41.5

Structural model:
a = 7.942 Å, b = 7.942 Å, c = 7.942 Å
α = 152.39°, β = 152.39°, γ = 39.45°
Fractional positions:
Zr 0.180 0.180 0.000
Zr 0.820 0.820 0.000
Ti 0.000 0.500 0.500
Ti 0.500 0.000 0.500
As 0.371 0.371 0.000
As 0.629 0.629 0.000

For Tl3As, the PBE geometry in the Materials Project gives the computed PXRD pattern in this record (Cu Kα (λ = 1.5418 Å)).
Peak positions follow from Bragg's law for the DFT cell and can differ from measured ones.

Largest 8 diffraction maxima, low angle first, 10° ≤ 2θ ≤ 90°:
2theta  intensity
29.8  23.5
32.3  25.8
34.0  100.0
44.5  15.9
52.8  18.8
58.6  21.3
63.3  22.0
64.3  15.5

Structural model:
a = 6.932 Å, b = 6.932 Å, c = 5.549 Å
α = 90.00°, β = 90.00°, γ = 120.00°
Fractional positions:
Tl 0.174 0.347 0.250
Tl 0.174 0.826 0.250
Tl 0.347 0.174 0.750
Tl 0.653 0.826 0.250
Tl 0.826 0.174 0.750
Tl 0.826 0.653 0.750
As 0.333 0.667 0.750
As 0.667 0.333 0.250

For TlAs, the PBE geometry in the Materials Project gives the computed PXRD pattern in this record (Cu Kα (λ = 1.5418 Å)).
Peak positions follow from Bragg's law for the DFT cell and can differ from measured ones.

Largest 8 diffraction maxima, low angle first, 10° ≤ 2θ ≤ 90°:
2theta  intensity
24.2  100.0
28.1  16.7
40.1  68.0
47.4  50.7
58.0  11.6
63.8  21.1
72.9  23.8
78.1  15.9

Structural model:
a = 4.497 Å, b = 4.497 Å, c = 4.497 Å
α = 60.00°, β = 60.00°, γ = 60.00°
Fractional positions:
Tl 0.000 0.000 0.000
As 0.750 0.750 0.750

For V20As11, the PBE geometry in the Materials Project gives the computed PXRD pattern in this record (Cu Kα (λ = 1.5418 Å)).
Peak positions follow from Bragg's law for the DFT cell and can differ from measured ones.

Largest 8 diffraction maxima, low angle first, 10° ≤ 2θ ≤ 90°:
2theta  intensity
37.0  22.5
39.1  29.9
41.9  50.7
42.9  49.4
43.7  100.0
46.3  24.9
55.8  21.5
71.4  21.1

Structural model:
a = 7.092 Å, b = 7.092 Å, c = 13.360 Å
α = 90.00°, β = 90.00°, γ = 139.97°
Fractional positions:
V 0.099 0.404 0.924
V 0.117 0.413 0.573
V 0.179 0.329 0.153
V 0.190 0.340 0.352
V 0.248 0.750 0.253
V 0.250 0.752 0.747
V 0.329 0.179 0.847
V 0.340 0.190 0.648
V 0.404 0.099 0.076
V 0.413 0.117 0.427
V 0.587 0.883 0.427
V 0.596 0.901 0.076
V 0.660 0.810 0.648
V 0.671 0.821 0.847
V 0.750 0.248 0.747
V 0.752 0.250 0.253
V 0.810 0.660 0.352
V 0.821 0.671 0.153
V 0.883 0.587 0.573
V 0.901 0.596 0.924
As 0.000 0.000 0.000
As 0.000 0.000 0.500
As 0.000 0.500 0.086
As 0.000 0.500 0.417
As 0.168 0.337 0.747
As 0.337 0.168 0.253
As 0.500 0.000 0.583
As 0.500 0.000 0.914
As 0.500 0.500 0.000
As 0.663 0.832 0.253
As 0.832 0.663 0.747

For V4As3, the PBE geometry in the Materials Project gives the computed PXRD pattern in this record (Cu Kα (λ = 1.5418 Å)).
Peak positions follow from Bragg's law for the DFT cell and can differ from measured ones.

Largest 8 diffraction maxima, low angle first, 10° ≤ 2θ ≤ 90°:
2theta  intensity
33.5  50.9
34.7  68.0
36.8  36.2
40.8  100.0
41.0  57.0
42.3  58.9
49.9  67.3
54.4  61.2

Structural model:
a = 7.149 Å, b = 7.149 Å, c = 9.100 Å
α = 100.47°, β = 100.47°, γ = 27.27°
Fractional positions:
V 0.000 0.000 0.000
V 0.000 0.000 0.500
V 0.226 0.226 0.690
V 0.336 0.336 0.052
V 0.441 0.441 0.771
V 0.559 0.559 0.229
V 0.664 0.664 0.948
V 0.774 0.774 0.310
As 0.071 0.071 0.768
As 0.175 0.175 0.154
As 0.357 0.357 0.507
As 0.643 0.643 0.493
As 0.825 0.825 0.846
As 0.929 0.929 0.232

For V3As2, the PBE geometry in the Materials Project gives the computed PXRD pattern in this record (Cu Kα (λ = 1.5418 Å)).
Peak positions follow from Bragg's law for the DFT cell and can differ from measured ones.

Largest 8 diffraction maxima, low angle first, 10° ≤ 2θ ≤ 90°:
2theta  intensity
34.5  100.0
39.6  95.8
40.8  36.5
42.8  85.8
44.2  44.6
48.4  75.8
55.8  37.0
72.8  31.9

Structural model:
a = 9.439 Å, b = 9.439 Å, c = 3.297 Å
α = 90.00°, β = 90.00°, γ = 90.00°
Fractional positions:
V 0.000 0.000 0.000
V 0.000 0.500 0.000
V 0.102 0.785 0.500
V 0.215 0.102 0.500
V 0.322 0.368 0.000
V 0.368 0.678 0.000
V 0.500 0.000 0.000
V 0.500 0.500 0.500
V 0.632 0.322 0.000
V 0.678 0.632 0.000
V 0.785 0.898 0.500
V 0.898 0.215 0.500
As 0.089 0.255 0.000
As 0.214 0.540 0.500
As 0.255 0.911 0.000
As 0.460 0.214 0.500
As 0.540 0.786 0.500
As 0.745 0.089 0.000
As 0.786 0.460 0.500
As 0.911 0.745 0.000